No. 1
Diffraction record for La2MgI8. The X-ray diffraction stick pattern is computed, not measured: it uses a crystal structure in the Materials Project, relaxed with GGA-PBE and Cu Kα X-rays.

The 12 most intense peaks (5 to 70 degrees two-theta), in order of rising 2θ:
| Position (°2θ) | intensity |
| --- | --- |
| 11.98 | 12 |
| 14.39 | 19 |
| 23.37 | 29 |
| 24.09 | 24 |
| 29.02 | 100 |
| 30.42 | 15 |
| 34.51 | 12 |
| 38.06 | 27 |
| 39.03 | 13 |
| 43.73 | 12 |
| 48.93 | 14 |
| 50.53 | 14 |

```
22
Lattice="8.130 -4.843 0.000 8.130 4.843 0.000 -5.644 0.000 12.310" Properties=species:S:1:pos:R:3 pbc="T T T"
La 2.626 2.035 2.333
La -0.196 -2.035 8.488
La 10.811 2.035 3.822
La 7.989 -2.035 9.977
Mg 6.719 4.755 3.077
Mg 3.897 -4.755 9.232
I -1.601 0.775 7.696
I 2.328 2.881 7.986
I 5.646 2.674 1.161
I 1.220 -0.775 1.541
I 5.465 2.881 10.479
I 7.792 2.674 4.994
I 3.968 0.040 4.459
I 1.146 -0.040 10.614
I 9.469 0.040 1.696
I 6.647 -0.040 7.851
I 2.824 -2.674 7.316
I 5.150 -2.881 1.831
I 9.395 0.775 10.769
I 4.970 -2.674 11.149
I 8.287 -2.881 4.324
I 12.217 -0.775 4.614
```


No. 2
Diffraction record for TlAsPd6. The X-ray diffraction stick pattern is computed, not measured: it uses a crystal structure in the Materials Project, relaxed with GGA-PBE and Cu Kα X-rays.

The 12 most intense peaks (5 to 70 degrees two-theta), in order of rising 2θ:
| Position (°2θ) | intensity |
| --- | --- |
| 12.08 | 6 |
| 22.89 | 4 |
| 23.96 | 2 |
| 30.44 | 6 |
| 36.57 | 17 |
| 39.55 | 100 |
| 39.99 | 81 |
| 41.50 | 2 |
| 54.96 | 5 |
| 57.50 | 28 |
| 63.49 | 3 |
| 69.81 | 5 |

```
8
Lattice="2.279 1.315 7.326 -2.279 1.315 7.326 0.000 -2.631 7.326" Properties=species:S:1:pos:R:3 pbc="T T T"
Tl 0.000 0.000 0.000
As 0.000 0.000 10.990
Pd 0.000 0.000 2.932
Pd 0.000 0.000 5.683
Pd 0.000 0.000 8.506
Pd 0.000 0.000 13.473
Pd 0.000 0.000 16.296
Pd 0.000 0.000 19.047
```